Structure and theoretical powder X-ray diffraction pattern of TaCu2Te4 (the PBE geometry in Alexandria; Cu Kα).
Intensities are scaled so that the largest is 100.

Largest 10 diffraction maxima, by angle, 15° ≤ 2θ ≤ 90°:
h k l	2θ (°)	Rel. int.
1 1 2	21.98	35
0 1 3	25.84	47
2 0 2	27.01	51
2 2 0	31.28	43
2 0 4	38.56	15
2 3 1	41.00	35
4 0 0	44.83	100
0 2 6	53.12	21
0 5 3	62.36	10
6 2 4	82.63	20

Structural model:
Cell lengths 8.089, 8.096, 11.423 Å; angles 90.00, 90.00, 90.00 degrees
Space group Imma (No. 74)
Unique sites:
Ta  0.000  0.250  0.125
Cu  0.000  0.000  0.500
Cu  0.250  0.250  0.750
Te  0.000  0.017  0.741
Te  0.233  0.250  0.508

Structure and theoretical powder X-ray diffraction pattern of Ta2Cu2W (the PBE geometry in Alexandria; Cu Kα).
Intensities are scaled so that the largest is 100.

Largest 10 diffraction maxima, by angle, 15° ≤ 2θ ≤ 90°:
h k l	2θ (°)	Rel. int.
2 1 0	29.17	23
1 1 1	32.98	21
2 2 0	37.14	30
2 0 1	37.99	90
2 1 1	40.29	100
3 1 0	41.72	59
4 1 1	62.71	23
3 3 1	64.33	23
3 1 2	72.26	23
5 1 1	76.70	23

Structural model:
Cell lengths 6.847, 6.847, 3.281 Å; angles 90.00, 90.00, 90.00 degrees
Space group P4/mbm (No. 127)
Unique sites:
Ta  0.181  0.319  0.000
Cu  0.120  0.620  0.500
W  0.000  0.000  0.500

Structure and theoretical powder X-ray diffraction pattern of Zr2TaCu (the PBE geometry in Alexandria; Cu Kα).
Intensities are scaled so that the largest is 100.

Largest 10 diffraction maxima, by angle, 15° ≤ 2θ ≤ 90°:
h k l	2θ (°)	Rel. int.
1 0 0	18.95	17
1 0 1	32.15	9
1 1 1	37.58	100
2 0 0	38.44	47
2 1 1	50.96	6
0 0 2	52.88	9
2 2 0	55.50	16
2 0 2	67.25	18
3 1 1	68.97	32
2 2 2	80.22	11

Structural model:
Cell lengths 4.683, 4.683, 3.463 Å; angles 90.00, 90.00, 90.00 degrees
Space group P4/mmm (No. 123)
Unique sites:
Zr  0.000  0.500  0.000
Ta  0.000  0.000  0.500
Cu  0.500  0.500  0.500

Structure and theoretical powder X-ray diffraction pattern of Tb5Cu6 (the PBE geometry in Alexandria; Cu Kα).
Intensities are scaled so that the largest is 100.

Largest 10 diffraction maxima, by angle, 15° ≤ 2θ ≤ 90°:
h k l	2θ (°)	Rel. int.
2 0 0	25.12	10
1 3 -1	26.17	11
1 5 0	33.54	19
3 3 -1	36.59	100
2 0 -2	37.27	29
0 6 0	37.42	19
2 2 1	44.49	12
1 5 -2	51.00	11
2 6 -2	53.84	13
2 8 1	68.26	11

Structural model:
Cell lengths 8.569, 14.421, 4.825 Å; angles 90.00, 124.16, 90.00 degrees
Space group C2/m (No. 12)
Unique sites:
Tb  0.000  0.000  0.000
Tb  0.000  0.177  0.500
Tb  0.000  0.361  0.000
Cu  0.201  0.000  0.700
Cu  0.217  0.183  0.216

Structure and theoretical powder X-ray diffraction pattern of TbCu6 (the PBE geometry in Alexandria; Cu Kα).
Intensities are scaled so that the largest is 100.

Largest 10 diffraction maxima, by angle, 15° ≤ 2θ ≤ 90°:
h k l	2θ (°)	Rel. int.
0 1 3	32.10	25
0 2 0	35.45	37
1 0 4	37.62	59
3 1 1	39.30	100
2 1 3	39.42	81
0 2 2	39.89	29
2 2 0	42.28	31
2 2 1	43.27	28
4 0 1	46.41	91
3 3 1	66.27	35

Structural model:
Cell lengths 7.979, 5.064, 10.023 Å; angles 90.00, 90.00, 90.00 degrees
Space group Pnma (No. 62)
Unique sites:
Tb  0.242  0.250  0.064
Cu  0.065  0.750  0.093
Cu  0.066  0.007  0.309
Cu  0.100  0.250  0.518
Cu  0.146  0.750  0.855
Cu  0.182  0.250  0.757

Structure and theoretical powder X-ray diffraction pattern of TbCu12 (the PBE geometry in Alexandria; Cu Kα).
Intensities are scaled so that the largest is 100.

Largest 10 diffraction maxima, by angle, 15° ≤ 2θ ≤ 90°:
h k l	2θ (°)	Rel. int.
2 1 1	29.92	19
3 1 0	33.50	7
3 0 1	36.85	30
0 0 2	36.97	11
4 0 0	42.78	100
2 0 2	42.90	46
4 2 0	48.11	16
2 2 2	48.24	21
3 2 3	70.63	13
6 0 2	78.36	25

Structural model:
Cell lengths 8.460, 8.460, 4.863 Å; angles 90.00, 90.00, 90.00 degrees
Space group I4/mmm (No. 139)
Unique sites:
Tb  0.000  0.000  0.000
Cu  0.000  0.223  0.500
Cu  0.000  0.355  0.000
Cu  0.250  0.250  0.250

Structure and theoretical powder X-ray diffraction pattern of Tb7Cu3 (the PBE geometry in Alexandria; Cu Kα).
Intensities are scaled so that the largest is 100.

Largest 10 diffraction maxima, by angle, 15° ≤ 2θ ≤ 90°:
h k l	2θ (°)	Rel. int.
2 1 0	27.58	18
1 0 2	30.75	40
2 1 1	31.21	100
3 0 0	31.36	13
3 0 1	34.63	44
2 0 2	35.84	41
2 2 0	36.37	35
3 0 3	54.97	21
3 2 2	55.45	26
3 3 0	55.77	39

Structural model:
Cell lengths 9.8803, 9.8803, 6.1829 Å; angles 90.00, 90.00, 120.00 degrees
Space group P6_3mc (No. 186)
Unique sites:
Tb  0.0757  0.5379  0.0000
Tb  0.1280  0.2559  0.3023
Tb  0.3333  0.6667  0.4918
Cu  0.1900  0.3800  0.7353

Structure and theoretical powder X-ray diffraction pattern of Tb6Cu23 (the PBE geometry in Alexandria; Cu Kα).
Intensities are scaled so that the largest is 100.

Largest 10 diffraction maxima, by angle, 15° ≤ 2θ ≤ 90°:
h k l	2θ (°)	Rel. int.
2 2 2	25.30	17
4 0 0	29.29	13
3 3 1	31.99	12
4 2 2	36.08	23
3 3 3	38.35	57
4 4 0	41.90	100
7 3 3	62.32	12
8 2 2	64.87	14
8 4 4	76.53	17
7 7 3	81.66	12

Structural model:
Cell lengths 12.196, 12.196, 12.196 Å; angles 90.00, 90.00, 90.00 degrees
Space group Fm-3m (No. 225)
Unique sites:
Tb  0.000  0.000  0.216
Cu  0.000  0.000  0.500
Cu  0.000  0.250  0.250
Cu  0.123  0.123  0.377
Cu  0.173  0.173  0.173